Computed X-ray diffraction stick pattern of Rb7NaZn2O6 for Cu Kα X-rays, from a structure optimized by DFT (PBE).
No peak broadening, texture or thermal motion is included.

Main lines, by angle (5° ≤ 2θ ≤ 70°):
d/Å, 2θ/deg, intensity
3.382, 26.3, 55
3.168, 28.2, 43
2.980, 30.0, 92
2.947, 30.3, 100
2.769, 32.3, 67
2.703, 33.1, 42
2.658, 33.7, 58
2.557, 35.1, 38

```
Rb7NaZn2O6
1.0
7.209 0.000 0.000
-3.082 9.088 0.000
-0.399 -3.455 10.901
Rb Na Zn O
14 2 4 12
Direct
0.011 0.377 0.316
0.024 0.016 0.313
0.064 0.839 0.019
0.293 0.571 0.092
0.452 0.165 0.593
0.465 0.984 0.812
0.471 0.632 0.635
0.529 0.368 0.365
0.535 0.016 0.188
0.548 0.835 0.407
0.707 0.429 0.908
0.936 0.161 0.981
0.976 0.984 0.687
0.989 0.623 0.684
0.193 0.385 0.785
0.807 0.615 0.215
0.081 0.754 0.438
0.407 0.252 0.059
0.593 0.748 0.941
0.919 0.246 0.562
0.157 0.749 0.276
0.200 0.327 0.556
0.219 0.181 0.164
0.271 0.836 0.584
0.313 0.674 0.880
0.314 0.244 0.895
0.686 0.756 0.105
0.687 0.326 0.120
0.729 0.164 0.416
0.781 0.819 0.836
0.800 0.673 0.444
0.843 0.251 0.724
```

***

Computed X-ray diffraction stick pattern of NaReO2 for Cu Kα X-rays, from a structure optimized by DFT (PBE).
No peak broadening, texture or thermal motion is included.

Main lines, by angle (5° ≤ 2θ ≤ 70°):
d/Å, 2θ/deg, intensity
5.259, 16.9, 100
3.185, 28.0, 45
2.830, 31.6, 44
2.629, 34.1, 97
2.586, 34.7, 28
2.100, 43.1, 42
1.686, 54.4, 37
1.592, 57.9, 29

```
NaReO2
1.0
-2.969 2.969 5.660
2.969 -2.969 5.660
2.969 2.969 -5.660
Na Re O
4 4 8
Direct
0.000 0.000 0.000
0.000 0.000 0.500
0.000 0.500 0.000
0.500 0.000 0.500
0.000 0.500 0.500
0.500 0.000 0.000
0.500 0.500 0.000
0.500 0.500 0.500
0.203 0.246 0.542
0.203 0.661 0.958
0.246 0.203 0.042
0.339 0.797 0.542
0.661 0.203 0.458
0.754 0.797 0.958
0.797 0.339 0.042
0.797 0.754 0.458
```